# 1
Simulated powder diffractogram
Compound: CaNd12Y6
Radiation: Cu Kα, 1.54184 Å
Structure: the PBE geometry in Alexandria
Peak positions follow from Bragg's law for the DFT cell and can differ from measured ones.

Crystal structure
a b c (Å): 8.9201 8.9201 8.9201
angles (deg): 98.26 98.26 98.26
Fractional coordinates of all 19 atoms:
Ca1 0.0000 0.0000 0.0000
Nd1 0.0836 0.3573 0.3573
Nd2 0.2405 0.5000 0.7595
Nd3 0.2405 0.7595 0.5000
Nd4 0.3573 0.0836 0.3573
Nd5 0.3573 0.3573 0.0836
Nd6 0.5000 0.2405 0.7595
Nd7 0.5000 0.7595 0.2405
Nd8 0.6427 0.6427 0.9164
Nd9 0.6427 0.9164 0.6427
Nd10 0.7595 0.2405 0.5000
Nd11 0.7595 0.5000 0.2405
Nd12 0.9164 0.6427 0.6427
Y1 0.0987 0.0987 0.6566
Y2 0.0987 0.6566 0.0987
Y3 0.3434 0.9013 0.9013
Y4 0.6566 0.0987 0.0987
Y5 0.9013 0.3434 0.9013
Y6 0.9013 0.9013 0.3434

Top 10 peaks for 10° ≤ 2θ ≤ 90°, most intense first:
30.82 deg, intensity 100
31.39 deg, intensity 96
28.41 deg, intensity 48
33.62 deg, intensity 43
55.53 deg, intensity 29
47.91 deg, intensity 23
56.98 deg, intensity 22
54.41 deg, intensity 20
82.70 deg, intensity 18
24.35 deg, intensity 16

# 2
Simulated powder diffractogram
Compound: CaNd5Zn3
Radiation: Cu Kα, 1.54184 Å
Structure: the PBE geometry in Alexandria
Peak positions follow from Bragg's law for the DFT cell and can differ from measured ones.

Crystal structure
a b c (Å): 9.1692 9.1692 6.9698
angles (deg): 90.00 90.00 120.00
Fractional coordinates of all 18 atoms:
Ca1 0.0000 0.0000 0.0000
Ca2 0.0000 0.0000 0.5000
Nd1 0.0000 0.3318 0.2500
Nd2 0.0000 0.6682 0.7500
Nd3 0.3318 0.0000 0.2500
Nd4 0.3318 0.3318 0.7500
Nd5 0.3333 0.6667 0.0000
Nd6 0.3333 0.6667 0.5000
Nd7 0.6667 0.3333 0.0000
Nd8 0.6667 0.3333 0.5000
Nd9 0.6682 0.0000 0.7500
Nd10 0.6682 0.6682 0.2500
Zn1 0.0000 0.3338 0.7500
Zn2 0.0000 0.6662 0.2500
Zn3 0.3338 0.0000 0.7500
Zn4 0.3338 0.3338 0.2500
Zn5 0.6662 0.0000 0.2500
Zn6 0.6662 0.6662 0.7500

Top 10 peaks for 10° ≤ 2θ ≤ 90°, most intense first:
32.27 deg, intensity 100
33.87 deg, intensity 98
59.58 deg, intensity 34
47.47 deg, intensity 34
63.97 deg, intensity 30
23.22 deg, intensity 19
60.59 deg, intensity 18
84.29 deg, intensity 14
80.39 deg, intensity 14
11.14 deg, intensity 13

# 3
Simulated powder diffractogram
Compound: Ca2Nd3Zn3
Radiation: Cu Kα, 1.54184 Å
Structure: the PBE geometry in Alexandria
Peak positions follow from Bragg's law for the DFT cell and can differ from measured ones.

Crystal structure
a b c (Å): 3.6904 5.3366 23.3721
angles (deg): 90.00 90.00 90.00
Fractional coordinates of all 16 atoms:
Ca1 0.0000 0.0000 0.2166
Ca2 0.0000 0.0000 0.7834
Ca3 0.5000 0.5000 0.2834
Ca4 0.5000 0.5000 0.7166
Nd1 0.0000 0.0000 0.0000
Nd2 0.0000 0.5000 0.1101
Nd3 0.0000 0.5000 0.8899
Nd4 0.5000 0.0000 0.3899
Nd5 0.5000 0.0000 0.6101
Nd6 0.5000 0.5000 0.5000
Zn1 0.0000 0.0000 0.5000
Zn2 0.0000 0.5000 0.3926
Zn3 0.0000 0.5000 0.6074
Zn4 0.5000 0.0000 0.1074
Zn5 0.5000 0.0000 0.8926
Zn6 0.5000 0.5000 0.0000

Top 10 peaks for 10° ≤ 2θ ≤ 90°, most intense first:
33.26 deg, intensity 100
37.57 deg, intensity 30
33.59 deg, intensity 29
30.60 deg, intensity 18
59.85 deg, intensity 18
25.33 deg, intensity 18
63.61 deg, intensity 17
38.52 deg, intensity 14
52.01 deg, intensity 12
46.07 deg, intensity 12